(1)
The following is a simulated XRD peak list of Y2InNi2. It was derived from the PBE geometry in the Materials Project, using Cu Kα (weighted mean of Kα1 and Kα2).
Neutral-atom scattering factors, no anomalous dispersion.

Structural model:
```
data_Y2InNi2
_chemical_formula_sum 'Y4 In2 Ni4'
_cell_length_a 3.9790
_cell_length_b 14.2433
_cell_length_c 3.6404
_cell_angle_alpha 90.00
_cell_angle_beta 90.00
_cell_angle_gamma 90.00
_symmetry_space_group_name_H-M 'C m m m'
_symmetry_Int_Tables_number 65
_symmetry_space_group_name_Hall '-C 2 2'
loop_
_atom_site_label
_atom_site_fract_x
_atom_site_fract_y
_atom_site_fract_z
Y1 0.0000 0.1375 0.0000
In1 0.0000 0.5000 0.5000
Ni1 0.0000 0.3005 0.5000
```

Peak list (12 most intense, 10 to 80 degrees two-theta, most intense first)
- 2θ = 33.97°, intensity 100, hkl 1 1 1
- 2θ = 35.26°, intensity 64, hkl 0 4 1
- 2θ = 38.88°, intensity 45, hkl 1 5 0
- 2θ = 45.60°, intensity 28, hkl 2 0 0
- 2θ = 58.92°, intensity 28, hkl 2 4 1
- 2θ = 29.29°, intensity 27, hkl 1 3 0
- 2θ = 50.12°, intensity 19, hkl 0 0 2
- 2θ = 38.51°, intensity 19, hkl 1 3 1
- 2θ = 65.19°, intensity 18, hkl 1 5 2
- 2θ = 46.47°, intensity 17, hkl 1 5 1
- 2θ = 37.90°, intensity 14, hkl 0 6 0
- 2θ = 70.07°, intensity 14, hkl 2 0 2

=====

(2)
The following is a simulated XRD peak list of BSbO3. It was derived from the PBE geometry in the Materials Project, using Cu Kα (weighted mean of Kα1 and Kα2).
Neutral-atom scattering factors, no anomalous dispersion.

Structural model:
```
data_BSbO3
_chemical_formula_sum 'B8 Sb8 O24'
_cell_length_a 6.3002
_cell_length_b 7.8189
_cell_length_c 13.0249
_cell_angle_alpha 90.00
_cell_angle_beta 102.44
_cell_angle_gamma 90.00
_symmetry_space_group_name_H-M 'C 1 2/c 1'
_symmetry_Int_Tables_number 15
loop_
_symmetry_equiv_pos_as_xyz
'x,y,z'
'-x,-y,-z'
'-x,y,-z+1/2'
'x,-y,z+1/2'
'x+1/2,y+1/2,z'
'-x+1/2,-y+1/2,-z'
'-x+1/2,y+1/2,-z+1/2'
'x+1/2,-y+1/2,z+1/2'
loop_
_atom_site_label
_atom_site_fract_x
_atom_site_fract_y
_atom_site_fract_z
B1 0.1406 0.2030 0.1472
Sb1 0.1591 0.1738 0.6284
O1 0.0787 0.2059 0.4032
O2 0.2303 0.3323 0.2143
O3 0.2309 0.4323 0.8741
```

Peak list (12 most intense, 10 to 80 degrees two-theta, most intense first)
- 2θ = 20.73°, intensity 100, hkl 1 1 1
- 2θ = 28.06°, intensity 75, hkl 0 0 4
- 2θ = 21.12°, intensity 50, hkl 1 1 -2
- 2θ = 22.75°, intensity 47, hkl 0 2 0
- 2θ = 23.81°, intensity 47, hkl 0 2 1
- 2θ = 29.40°, intensity 46, hkl 2 0 -2
- 2θ = 25.49°, intensity 46, hkl 1 1 -3
- 2θ = 37.49°, intensity 38, hkl 1 3 0
- 2θ = 36.64°, intensity 37, hkl 2 2 -1
- 2θ = 24.95°, intensity 31, hkl 1 1 2
- 2θ = 55.33°, intensity 29, hkl 2 4 -1
- 2θ = 42.88°, intensity 28, hkl 1 1 5

=====

(3)
The following is a simulated XRD peak list of PrMgAu2. It was derived from the PBE geometry in the Materials Project, using Cu Kα (weighted mean of Kα1 and Kα2).
Neutral-atom scattering factors, no anomalous dispersion.

Structural model:
```
data_PrMgAu2
_chemical_formula_sum 'Pr4 Mg4 Au8'
_cell_length_a 7.1526
_cell_length_b 7.1526
_cell_length_c 7.1526
_cell_angle_alpha 90.00
_cell_angle_beta 90.00
_cell_angle_gamma 90.00
_symmetry_space_group_name_H-M 'F m -3 m'
_symmetry_Int_Tables_number 225
_symmetry_space_group_name_Hall '-F 4 2 3'
loop_
_atom_site_label
_atom_site_fract_x
_atom_site_fract_y
_atom_site_fract_z
Pr1 0.0000 0.0000 0.0000
Mg1 0.0000 0.0000 0.5000
Au1 0.2500 0.2500 0.2500
```

Peak list (12 most intense, 10 to 80 degrees two-theta, most intense first)
- 2θ = 35.50°, intensity 100, hkl 2 2 0
- 2θ = 63.74°, intensity 37, hkl 4 2 2
- 2θ = 24.90°, intensity 20, hkl 2 0 0
- 2θ = 51.08°, intensity 18, hkl 4 0 0
- 2θ = 75.14°, intensity 12, hkl 4 4 0
- 2θ = 21.52°, intensity 10, hkl 1 1 1
- 2θ = 57.63°, intensity 9, hkl 4 2 0
- 2θ = 43.85°, intensity 6, hkl 2 2 2
- 2θ = 41.89°, intensity 5, hkl 3 1 1
- 2θ = 56.04°, intensity 2, hkl 3 3 1
- 2θ = 68.12°, intensity 2, hkl 5 1 1
- 2θ = 79.23°, intensity 2, hkl 5 3 1

=====

(4)
The following is a simulated XRD peak list of Lu2CoGe6. It was derived from the PBE geometry in the Materials Project, using Cu Kα (weighted mean of Kα1 and Kα2).
Neutral-atom scattering factors, no anomalous dispersion.

Structural model:
```
data_Lu2CoGe6
_chemical_formula_sum 'Lu4 Co2 Ge12'
_cell_length_a 4.0296
_cell_length_b 3.9557
_cell_length_c 21.2802
_cell_angle_alpha 90.00
_cell_angle_beta 90.00
_cell_angle_gamma 90.00
_symmetry_space_group_name_H-M 'A m m 2'
_symmetry_Int_Tables_number 38
loop_
_symmetry_equiv_pos_as_xyz
'x,y,z'
'-x,-y,z'
'-x,y,z'
'x,-y,z'
'x,y+1/2,z+1/2'
'-x,-y+1/2,z+1/2'
'-x,y+1/2,z+1/2'
'x,-y+1/2,z+1/2'
loop_
_atom_site_label
_atom_site_fract_x
_atom_site_fract_y
_atom_site_fract_z
Lu1 0.0000 0.0000 0.0000
Lu2 0.0000 0.0000 0.3364
Co1 0.5000 0.0000 0.7785
Ge1 0.0000 0.0000 0.6046
Ge2 0.0000 0.0000 0.7226
Ge3 0.5000 0.0000 0.1024
Ge4 0.5000 0.0000 0.2214
Ge5 0.5000 0.0000 0.4613
Ge6 0.5000 0.0000 0.8850
```

Peak list (12 most intense, 10 to 80 degrees two-theta, most intense first)
- 2θ = 34.19°, intensity 100, hkl 1 1 3
- 2θ = 33.68°, intensity 39, hkl 0 0 8
- 2θ = 38.26°, intensity 25, hkl 1 1 5
- 2θ = 44.99°, intensity 23, hkl 2 0 0
- 2θ = 45.88°, intensity 22, hkl 0 2 0
- 2θ = 44.65°, intensity 17, hkl 0 1 9
- 2θ = 58.11°, intensity 16, hkl 0 2 8
- 2θ = 66.21°, intensity 14, hkl 2 2 0
- 2θ = 25.79°, intensity 14, hkl 0 1 3
- 2θ = 43.76°, intensity 13, hkl 1 1 7
- 2θ = 65.25°, intensity 11, hkl 2 1 9
- 2θ = 37.31°, intensity 10, hkl 0 1 7

=====

(5)
The following is a simulated XRD peak list of Hf9Re4S. It was derived from the PBE geometry in the Materials Project, using Cu Kα (weighted mean of Kα1 and Kα2).
Neutral-atom scattering factors, no anomalous dispersion.

Structural model:
```
data_Hf9Re4S
_chemical_formula_sum 'Hf36 Re16 S4'
_cell_length_a 12.1052
_cell_length_b 12.1050
_cell_length_c 8.5596
_cell_angle_alpha 90.00
_cell_angle_beta 90.00
_cell_angle_gamma 90.00
_symmetry_space_group_name_H-M 'C m c m'
_symmetry_Int_Tables_number 63
_symmetry_space_group_name_Hall '-C 2c 2'
loop_
_atom_site_label
_atom_site_fract_x
_atom_site_fract_y
_atom_site_fract_z
Hf1 0.0000 0.0427 0.2500
Hf2 0.0000 0.3042 0.5522
Hf3 0.1860 0.2287 0.2500
Hf4 0.2064 0.0979 0.5522
Re1 0.0000 0.3901 0.2500
Re2 0.0000 0.5000 0.0000
Re3 0.1648 0.4451 0.7500
S1 0.0000 0.1667 0.7500
```

Peak list (12 most intense, 10 to 80 degrees two-theta, most intense first)
- 2θ = 33.10°, intensity 100, hkl 3 3 1
- 2θ = 31.35°, intensity 83, hkl 3 1 2
- 2θ = 37.90°, intensity 46, hkl 2 2 3
- 2θ = 43.60°, intensity 44, hkl 1 5 2
- 2θ = 29.52°, intensity 39, hkl 4 0 0
- 2θ = 39.39°, intensity 36, hkl 2 4 2
- 2θ = 58.03°, intensity 34, hkl 5 5 2
- 2θ = 63.36°, intensity 34, hkl 3 3 5
- 2θ = 10.33°, intensity 29, hkl 1 1 0
- 2θ = 44.93°, intensity 29, hkl 6 0 0
- 2θ = 49.98°, intensity 23, hkl 5 1 3
- 2θ = 42.23°, intensity 19, hkl 0 0 4

=====

(6)
The following is a simulated XRD peak list of Fe7Se3. It was derived from the PBE geometry in the Materials Project, using Cu Kα (weighted mean of Kα1 and Kα2).
Neutral-atom scattering factors, no anomalous dispersion.

Structural model:
```
data_Fe7Se3
_chemical_formula_sum 'Fe28 Se12'
_cell_length_a 5.9630
_cell_length_b 7.8390
_cell_length_c 12.2838
_cell_angle_alpha 89.97
_cell_angle_beta 83.62
_cell_angle_gamma 89.99
_symmetry_space_group_name_H-M 'P -1'
_symmetry_Int_Tables_number 2
loop_
_symmetry_equiv_pos_as_xyz
'x,y,z'
'-x,-y,-z'
loop_
_atom_site_label
_atom_site_fract_x
_atom_site_fract_y
_atom_site_fract_z
Fe1 0.0046 0.0033 0.3100
Fe2 0.0049 0.4964 0.3101
Fe3 0.1428 0.7501 0.5899
Fe4 0.1441 0.7503 0.1769
Fe5 0.1801 0.0886 0.4973
Fe6 0.1804 0.4117 0.4975
Fe7 0.2635 0.2500 0.3171
Fe8 0.2647 0.2501 0.6944
Fe9 0.3023 0.7498 0.7885
Fe10 0.3223 0.5907 0.9874
Fe11 0.3220 0.9108 0.9875
Fe12 0.3374 0.2502 0.0903
Fe13 0.4202 0.0019 0.1958
Fe14 0.4203 0.4987 0.1958
Se1 0.0251 0.0408 0.1200
Se2 0.0254 0.4600 0.1199
Se3 0.1354 0.7501 0.3913
Se4 0.4082 0.2495 0.8885
Se5 0.4322 0.5322 0.6295
Se6 0.4315 0.9681 0.6297
```

Peak list (12 most intense, 10 to 80 degrees two-theta, most intense first)
- 2θ = 46.33°, intensity 100, hkl 0 4 0
- 2θ = 44.96°, intensity 94, hkl 1 2 5
- 2θ = 38.07°, intensity 87, hkl 2 2 0
- 2θ = 40.02°, intensity 81, hkl 1 1 5
- 2θ = 42.21°, intensity 49, hkl -2 2 2
- 2θ = 43.18°, intensity 47, hkl 1 1 -5
- 2θ = 46.47°, intensity 45, hkl 2 -2 4
- 2θ = 47.85°, intensity 41, hkl 1 2 -5
- 2θ = 28.70°, intensity 30, hkl -1 2 1
- 2θ = 43.01°, intensity 28, hkl 1 -3 3
- 2θ = 38.69°, intensity 26, hkl -1 3 1
- 2θ = 47.45°, intensity 26, hkl 3 0 -1

=====

(7)
The following is a simulated XRD peak list of CaCO3. It was derived from the PBE geometry in the Materials Project, using Cu Kα (weighted mean of Kα1 and Kα2).
Neutral-atom scattering factors, no anomalous dispersion.

Structural model:
```
data_CaCO3
_chemical_formula_sum 'Ca4 C4 O12'
_cell_length_a 6.4437
_cell_length_b 5.0670
_cell_length_c 8.1314
_cell_angle_alpha 90.00
_cell_angle_beta 107.60
_cell_angle_gamma 90.00
_symmetry_space_group_name_H-M 'P 1 21/c 1'
_symmetry_Int_Tables_number 14
loop_
_symmetry_equiv_pos_as_xyz
'x,y,z'
'-x,-y,-z'
'-x,y+1/2,-z+1/2'
'x,-y+1/2,z+1/2'
loop_
_atom_site_label
_atom_site_fract_x
_atom_site_fract_y
_atom_site_fract_z
Ca1 0.2428 0.2451 0.2333
C1 0.2537 0.7467 0.4986
O1 0.1282 0.5996 0.3779
O2 0.2416 0.0020 0.4848
O3 0.3868 0.6376 0.6341
```

Peak list (12 most intense, 10 to 80 degrees two-theta, most intense first)
- 2θ = 29.16°, intensity 100, hkl 1 1 -2
- 2θ = 29.08°, intensity 51, hkl 2 0 0
- 2θ = 47.93°, intensity 23, hkl 2 2 -2
- 2θ = 47.03°, intensity 22, hkl 3 1 -2
- 2θ = 38.91°, intensity 20, hkl 2 1 1
- 2θ = 42.64°, intensity 16, hkl 0 2 2
- 2θ = 35.62°, intensity 14, hkl 1 1 2
- 2θ = 47.30°, intensity 10, hkl 2 0 -4
- 2θ = 39.14°, intensity 10, hkl 0 1 3
- 2θ = 48.24°, intensity 10, hkl 1 1 -4
- 2θ = 42.74°, intensity 9, hkl 2 0 2
- 2θ = 22.75°, intensity 8, hkl 1 1 0

=====

Repeat the sixth record exactly.
The following is a simulated XRD peak list of Fe7Se3. It was derived from the PBE geometry in the Materials Project, using Cu Kα (weighted mean of Kα1 and Kα2).
Neutral-atom scattering factors, no anomalous dispersion.

Structural model:
```
data_Fe7Se3
_chemical_formula_sum 'Fe28 Se12'
_cell_length_a 5.9630
_cell_length_b 7.8390
_cell_length_c 12.2838
_cell_angle_alpha 89.97
_cell_angle_beta 83.62
_cell_angle_gamma 89.99
_symmetry_space_group_name_H-M 'P -1'
_symmetry_Int_Tables_number 2
loop_
_symmetry_equiv_pos_as_xyz
'x,y,z'
'-x,-y,-z'
loop_
_atom_site_label
_atom_site_fract_x
_atom_site_fract_y
_atom_site_fract_z
Fe1 0.0046 0.0033 0.3100
Fe2 0.0049 0.4964 0.3101
Fe3 0.1428 0.7501 0.5899
Fe4 0.1441 0.7503 0.1769
Fe5 0.1801 0.0886 0.4973
Fe6 0.1804 0.4117 0.4975
Fe7 0.2635 0.2500 0.3171
Fe8 0.2647 0.2501 0.6944
Fe9 0.3023 0.7498 0.7885
Fe10 0.3223 0.5907 0.9874
Fe11 0.3220 0.9108 0.9875
Fe12 0.3374 0.2502 0.0903
Fe13 0.4202 0.0019 0.1958
Fe14 0.4203 0.4987 0.1958
Se1 0.0251 0.0408 0.1200
Se2 0.0254 0.4600 0.1199
Se3 0.1354 0.7501 0.3913
Se4 0.4082 0.2495 0.8885
Se5 0.4322 0.5322 0.6295
Se6 0.4315 0.9681 0.6297
```

Peak list (12 most intense, 10 to 80 degrees two-theta, most intense first)
- 2θ = 46.33°, intensity 100, hkl 0 4 0
- 2θ = 44.96°, intensity 94, hkl 1 2 5
- 2θ = 38.07°, intensity 87, hkl 2 2 0
- 2θ = 40.02°, intensity 81, hkl 1 1 5
- 2θ = 42.21°, intensity 49, hkl -2 2 2
- 2θ = 43.18°, intensity 47, hkl 1 1 -5
- 2θ = 46.47°, intensity 45, hkl 2 -2 4
- 2θ = 47.85°, intensity 41, hkl 1 2 -5
- 2θ = 28.70°, intensity 30, hkl -1 2 1
- 2θ = 43.01°, intensity 28, hkl 1 -3 3
- 2θ = 38.69°, intensity 26, hkl -1 3 1
- 2θ = 47.45°, intensity 26, hkl 3 0 -1